Starting from a structure optimized by DFT (GGA-PBE), the powder XRD pattern of La2MgTl4 was calculated for Cu Kα.
No peak broadening, texture or thermal motion is included.

Most intense lines, 5° ≤ 2θ ≤ 70°, low angle first:
2θ/deg, Rel. int., index
17.62, 21.6, 2 0 -1
21.92, 51.4, 1 1 -1
26.66, 27.6, 4 0 0
27.09, 26.2, 4 0 -1
30.88, 33.9, 2 0 -2
31.52, 67.1, 0 2 0
32.79, 100.0, 3 1 1
34.48, 33.5, 1 1 -2
36.67, 54.7, 5 1 -1
37.77, 21.2, 1 1 2
44.71, 24.8, 2 2 -2
56.93, 21.2, 3 3 1

Atomic structure:
Unit cell a=13.8871 b=5.6772 c=5.8638 alpha=90.00 beta=105.59 gamma=90.00
Space group C2/m (No. 12)
One atom of each set of equivalent atoms:
1 La 0.1421 0.0000 0.0873 (multiplicity 4)
2 Mg 0.0000 0.5000 0.5000 (multiplicity 2)
3 Tl 0.0000 0.0000 0.5000 (multiplicity 2)
4 Tl 0.0000 0.5000 0.0000 (multiplicity 2)
5 Tl 0.2446 0.5000 0.3445 (multiplicity 4)